Theoretical X-ray diffraction stick pattern
Compound: Tb2Pr5SmSc
Radiation: Cu Kα
Structure: a structure optimized by DFT (GGA-PBE)
Lines closer than 0.1° are merged.

Cell and atoms:
Unit cell a=11.3594 b=11.3594 c=10.3413 alpha=90.00 beta=90.00 gamma=152.32
Fractional positions:
Tb1 0.1160 0.8840 0.5016
Tb2 0.1160 0.8840 0.9984
Tb3 0.8840 0.1160 0.0016
Tb4 0.8840 0.1160 0.4984
Pr1 0.0012 0.9988 0.2500
Pr2 0.2782 0.7218 0.0624
Pr3 0.2782 0.7218 0.4376
Pr4 0.3730 0.6270 0.7500
Pr5 0.5000 0.5000 0.0000
Pr6 0.5000 0.5000 0.5000
Pr7 0.6270 0.3730 0.2500
Pr8 0.7218 0.2782 0.5624
Pr9 0.7218 0.2782 0.9376
Pr10 0.9988 0.0012 0.7500
Sm1 0.3983 0.6017 0.2500
Sm2 0.6017 0.3983 0.7500
Sc1 0.2133 0.7867 0.7500
Sc2 0.7867 0.2133 0.2500

Main lines, low angle first (5° ≤ 2θ ≤ 70°):
26.71 deg, I 36; 30.99 deg, I 10; 31.33 deg, I 100; 32.47 deg, I 14; 32.97 deg, I 32; 33.10 deg, I 9; 34.70 deg, I 17; 46.95 deg, I 11; 48.61 deg, I 13; 57.85 deg, I 17; 59.68 deg, I 9; 59.84 deg, I 13

***

Theoretical X-ray diffraction stick pattern
Compound: NdB4
Radiation: Cu Kα
Structure: a structure optimized by DFT (GGA-PBE)
Lines closer than 0.1° are merged.

Cell and atoms:
Unit cell a=7.2388 b=7.2388 c=4.1197 alpha=90.00 beta=90.00 gamma=90.00
Fractional positions:
Nd1 0.1827 0.3173 0.0000
Nd2 0.3173 0.8173 0.0000
Nd3 0.6827 0.1827 0.0000
Nd4 0.8173 0.6827 0.0000
B1 0.0000 0.0000 0.2053
B2 0.0000 0.0000 0.7947
B3 0.0391 0.8257 0.5000
B4 0.0879 0.5879 0.5000
B5 0.1743 0.0391 0.5000
B6 0.3257 0.5391 0.5000
B7 0.4121 0.0879 0.5000
B8 0.4609 0.3257 0.5000
B9 0.5000 0.5000 0.2053
B10 0.5000 0.5000 0.7947
B11 0.5391 0.6743 0.5000
B12 0.5879 0.9121 0.5000
B13 0.6743 0.4609 0.5000
B14 0.8257 0.9609 0.5000
B15 0.9121 0.4121 0.5000
B16 0.9609 0.1743 0.5000

Main lines, low angle first (5° ≤ 2θ ≤ 70°):
21.57 deg, I 56; 24.60 deg, I 37; 27.55 deg, I 75; 32.94 deg, I 55; 35.26 deg, I 100; 41.54 deg, I 15; 43.96 deg, I 16; 45.32 deg, I 18; 52.09 deg, I 30; 52.67 deg, I 26; 57.02 deg, I 34; 58.56 deg, I 15

***

Theoretical X-ray diffraction stick pattern
Compound: HoMgBeZn
Radiation: Cu Kα
Structure: a structure optimized by DFT (GGA-PBE)
Lines closer than 0.1° are merged.

Cell and atoms:
Unit cell a=6.6338 b=6.6338 c=6.6338 alpha=90.00 beta=90.00 gamma=90.00
Fractional positions:
Ho1 0.0000 0.0000 0.0000
Ho2 0.0000 0.5000 0.5000
Ho3 0.5000 0.0000 0.5000
Ho4 0.5000 0.5000 0.0000
Mg1 0.0000 0.0000 0.5000
Mg2 0.0000 0.5000 0.0000
Mg3 0.5000 0.0000 0.0000
Mg4 0.5000 0.5000 0.5000
Be1 0.2500 0.2500 0.7500
Be2 0.2500 0.7500 0.2500
Be3 0.7500 0.2500 0.2500
Be4 0.7500 0.7500 0.7500
Zn1 0.2500 0.2500 0.2500
Zn2 0.2500 0.7500 0.7500
Zn3 0.7500 0.2500 0.7500
Zn4 0.7500 0.7500 0.2500

Main lines, low angle first (5° ≤ 2θ ≤ 70°):
23.22 deg, I 79; 26.88 deg, I 22; 38.38 deg, I 100; 45.34 deg, I 41; 47.48 deg, I 6; 55.40 deg, I 17; 60.87 deg, I 17; 62.63 deg, I 9; 69.40 deg, I 34

***

Theoretical X-ray diffraction stick pattern
Compound: Tl3Hg4
Radiation: Cu Kα
Structure: a structure optimized by DFT (GGA-PBE)
Lines closer than 0.1° are merged.

Cell and atoms:
Unit cell a=3.6303 b=4.2037 c=26.4435 alpha=90.00 beta=90.00 gamma=90.00
Fractional positions:
Tl1 0.0000 0.0000 0.0000
Tl2 0.0000 0.0000 0.1444
Tl3 0.0000 0.0000 0.8556
Tl4 0.5000 0.5000 0.3556
Tl5 0.5000 0.5000 0.5000
Tl6 0.5000 0.5000 0.6444
Hg1 0.0000 0.0000 0.2827
Hg2 0.0000 0.0000 0.4282
Hg3 0.0000 0.0000 0.5718
Hg4 0.0000 0.0000 0.7173
Hg5 0.5000 0.5000 0.0718
Hg6 0.5000 0.5000 0.2173
Hg7 0.5000 0.5000 0.7827
Hg8 0.5000 0.5000 0.9282

Main lines, low angle first (5° ≤ 2θ ≤ 70°):
31.85 deg, I 100; 32.59 deg, I 95; 34.26 deg, I 83; 43.04 deg, I 22; 48.18 deg, I 16; 50.26 deg, I 14; 56.12 deg, I 41; 59.38 deg, I 34; 60.75 deg, I 33; 66.56 deg, I 12; 68.27 deg, I 12

***

Theoretical X-ray diffraction stick pattern
Compound: CaHBr2
Radiation: Cu Kα
Structure: a structure optimized by DFT (GGA-PBE)
Lines closer than 0.1° are merged.

Cell and atoms:
Unit cell a=4.3157 b=4.3216 c=6.9796 alpha=82.74 beta=82.61 gamma=60.23
Fractional positions:
Ca1 0.0000 0.0000 0.0000
H1 0.6710 0.2145 0.7536
Br1 0.3003 0.3056 0.2208
Br2 0.6850 0.7066 0.7566

Main lines, low angle first (5° ≤ 2θ ≤ 70°):
12.82 deg, I 35; 25.61 deg, I 29; 25.81 deg, I 24; 26.25 deg, I 45; 27.98 deg, I 100; 32.79 deg, I 32; 36.74 deg, I 22; 41.69 deg, I 19; 42.20 deg, I 29; 42.57 deg, I 18; 44.68 deg, I 31; 54.02 deg, I 15

***

Theoretical X-ray diffraction stick pattern
Compound: Pr2Mg2Pt15
Radiation: Cu Kα
Structure: a structure optimized by DFT (GGA-PBE)
Lines closer than 0.1° are merged.

Cell and atoms:
Unit cell a=7.0349 b=7.0349 c=7.0349 alpha=82.70 beta=82.70 gamma=82.70
Fractional positions:
Pr1 0.1501 0.1501 0.1501
Pr2 0.8499 0.8499 0.8499
Mg1 0.3989 0.3989 0.3989
Mg2 0.6011 0.6011 0.6011
Pt1 0.0000 0.5000 0.5000
Pt2 0.1567 0.1567 0.6570
Pt3 0.1567 0.6570 0.1567
Pt4 0.1903 0.5000 0.8097
Pt5 0.1903 0.8097 0.5000
Pt6 0.3430 0.8433 0.8433
Pt7 0.5000 0.0000 0.5000
Pt8 0.5000 0.1903 0.8097
Pt9 0.5000 0.5000 0.0000
Pt10 0.5000 0.8097 0.1903
Pt11 0.6570 0.1567 0.1567
Pt12 0.8097 0.1903 0.5000
Pt13 0.8097 0.5000 0.1903
Pt14 0.8433 0.3430 0.8433
Pt15 0.8433 0.8433 0.3430

Main lines, low angle first (5° ≤ 2θ ≤ 70°):
19.10 deg, I 52; 33.39 deg, I 15; 34.46 deg, I 9; 38.75 deg, I 33; 38.97 deg, I 100; 39.63 deg, I 41; 43.74 deg, I 80; 44.34 deg, I 16; 52.06 deg, I 6; 56.63 deg, I 18; 63.43 deg, I 21; 67.36 deg, I 9